(1)
Simulated powder diffraction line list
Compound: Np3CuAg4Se8
Radiation: copper Kα
Structure: a crystal structure in Alexandria, relaxed with GGA-PBE
Peak positions follow from Bragg's law for the DFT cell and can differ from measured ones.

Structural model:
```
16
Lattice="6.653 -4.106 0.000 6.653 4.106 0.000 -4.108 0.000 6.881" Properties=species:S:1:pos:R:3 pbc="T T T"
Np 0.000 0.000 0.000
Np 1.272 2.053 3.441
Np 1.272 -2.053 3.441
Cu 6.653 0.000 0.000
Ag -2.054 0.000 3.441
Ag 3.326 2.053 0.000
Ag 3.326 -2.053 0.000
Ag 4.598 0.000 3.441
Se 0.074 0.000 5.021
Se 2.286 0.000 1.725
Se 3.442 1.855 5.311
Se 5.755 1.855 1.570
Se 3.442 -1.855 5.311
Se 5.755 -1.855 1.570
Se 6.911 0.000 5.156
Se 9.123 0.000 1.860
```

Main lines, in order of rising 2θ (2θ = 15–90°):
2theta	Rel. int.
26.74	12
31.29	100
43.06	27
44.11	12
45.52	12
46.59	22
55.10	14
65.25	8
71.60	11
76.76	9



(2)
Simulated powder diffraction line list
Compound: Cu7AgO12
Radiation: copper Kα
Structure: a crystal structure in Alexandria, relaxed with GGA-PBE
Peak positions follow from Bragg's law for the DFT cell and can differ from measured ones.

Structural model:
```
20
Lattice="-3.663 3.663 3.663 3.663 -3.663 3.663 3.663 3.663 -3.663" Properties=species:S:1:pos:R:3 pbc="T T T"
Cu 1.831 1.831 -1.831
Cu 1.831 -1.831 1.831
Cu 3.663 0.000 0.000
Cu -1.831 1.831 1.831
Cu 0.000 3.663 0.000
Cu 0.000 0.000 3.663
Cu 1.831 1.831 1.831
Ag 0.000 0.000 0.000
O 3.663 2.387 -1.359
O 2.304 0.000 1.276
O 5.021 0.000 1.276
O 1.276 2.304 0.000
O 2.387 -1.359 3.663
O 0.000 1.276 2.304
O 3.663 2.387 1.359
O 1.276 5.021 0.000
O 2.387 1.359 3.663
O -1.359 3.663 2.387
O 1.359 3.663 2.387
O 0.000 1.276 5.021
```

Main lines, in order of rising 2θ (2θ = 15–90°):
2theta	Rel. int.
17.12	2
34.64	100
38.88	6
42.76	2
46.38	5
49.79	24
62.07	46
73.07	11
80.90	1
83.46	16



(3)
Simulated powder diffraction line list
Compound: Cu2Ag2O3
Radiation: copper Kα
Structure: a crystal structure in Alexandria, relaxed with GGA-PBE
Peak positions follow from Bragg's law for the DFT cell and can differ from measured ones.

Structural model:
```
14
Lattice="-2.997 2.997 5.372 2.997 -2.997 5.372 2.997 2.997 -5.372" Properties=species:S:1:pos:R:3 pbc="T T T"
Cu 0.000 0.000 0.000
Cu 1.499 1.499 -2.686
Cu 1.499 -1.499 2.686
Cu 0.000 2.997 0.000
Ag 2.997 0.000 0.000
Ag -1.499 1.499 2.686
Ag 0.000 0.000 5.372
Ag 1.499 1.499 2.686
O 2.997 1.499 -1.487
O 2.997 -1.499 4.029
O 0.000 1.499 1.199
O 2.997 1.499 4.172
O 0.000 4.496 1.343
O 0.000 1.499 6.858
```

Main lines, in order of rising 2θ (2θ = 15–90°):
2theta	Rel. int.
33.36	20
34.26	100
34.48	5
42.66	20
55.21	29
60.20	18
61.92	10
72.18	8
72.71	20
85.63	5